(1)
Theoretical powder X-ray diffraction pattern
Compound: YAlPd
Radiation: copper Kα
Structure: a cell relaxed with PBE

Cell and atoms:
```
12
Lattice="6.8986 0.0000 0.0000 0.0000 4.4868 0.0000 0.0000 0.0000 7.7970" Properties=species:S:1:pos:R:3 pbc="T T T"
Y 0.2283 1.1217 1.4011
Y 3.2210 3.3651 5.2996
Y 3.6776 1.1217 2.4974
Y 6.6703 3.3651 6.3958
Al 1.0044 1.1217 4.3703
Al 2.4449 3.3651 0.4718
Al 4.4537 1.1217 7.3252
Al 5.8941 3.3651 3.4267
Pd 1.5606 3.3651 2.9636
Pd 1.8887 1.1217 6.8620
Pd 5.0099 3.3651 0.9349
Pd 5.3380 1.1217 4.8334
```

The 12 most intense peaks (10° ≤ 2θ ≤ 90°), by angle:
| index | 2θ/deg | d [Å] | I (rel.) |
| --- | --- | --- | --- |
| 1 0 2 | 26.3 | 3.390 | 64 |
| 1 1 2 | 33.1 | 2.707 | 44 |
| 2 1 1 | 34.8 | 2.581 | 100 |
| 1 0 3 | 37.0 | 2.432 | 12 |
| 0 1 3 | 40.1 | 2.249 | 24 |
| 0 2 0 | 40.2 | 2.243 | 35 |
| 3 0 1 | 40.9 | 2.206 | 10 |
| 1 1 3 | 42.3 | 2.138 | 22 |
| 3 0 2 | 45.8 | 1.980 | 26 |
| 3 2 2 | 62.6 | 1.485 | 15 |
| 4 2 0 | 68.6 | 1.368 | 12 |
| 2 3 1 | 69.6 | 1.351 | 11 |

---

(2)
Theoretical powder X-ray diffraction pattern
Compound: CeSe2
Radiation: copper Kα
Structure: a cell relaxed with PBE

Cell and atoms:
```
48
Lattice="17.6294 0.0000 0.0000 0.0000 17.6294 0.0000 0.0000 0.0000 7.5155" Properties=species:S:1:pos:R:3 pbc="T T T"
Ce 0.6917 2.6714 0.1974
Ce 0.6917 6.1433 3.5604
Ce 2.6714 0.6917 3.5604
Ce 2.6714 8.1230 0.1974
Ce 6.1433 0.6917 0.1974
Ce 6.1433 8.1230 3.5604
Ce 8.1230 2.6714 3.5604
Ce 8.1230 6.1433 0.1974
Ce 9.5064 11.4861 7.3181
Ce 9.5064 14.9580 3.9552
Ce 11.4861 9.5064 3.9552
Ce 11.4861 16.9377 7.3181
Ce 14.9580 9.5064 7.3181
Ce 14.9580 16.9377 3.9552
Ce 16.9377 11.4861 3.9552
Ce 16.9377 14.9580 7.3181
Se 0.0000 0.0000 0.0000
Se 0.0000 0.0000 3.7578
Se 0.0000 8.8147 0.0000
Se 0.0000 8.8147 3.7578
Se 0.7423 13.2221 5.6366
Se 2.5022 2.5022 5.6366
Se 2.5022 6.3125 5.6366
Se 2.7665 2.7665 1.8789
Se 2.7665 6.0482 1.8789
Se 4.4074 9.5570 1.8789
Se 4.4074 16.8872 1.8789
Se 6.0482 2.7665 1.8789
Se 6.0482 6.0482 1.8789
Se 6.3125 2.5022 5.6366
Se 6.3125 6.3125 5.6366
Se 8.0724 13.2221 5.6366
Se 8.8147 0.0000 0.0000
Se 8.8147 0.0000 3.7578
Se 8.8147 8.8147 0.0000
Se 8.8147 8.8147 3.7578
Se 9.5570 4.4074 1.8789
Se 11.3169 11.3169 1.8789
Se 11.3169 15.1272 1.8789
Se 11.5812 11.5812 5.6366
Se 11.5812 14.8629 5.6366
Se 13.2221 0.7423 5.6366
Se 13.2221 8.0724 5.6366
Se 14.8629 11.5812 5.6366
Se 14.8629 14.8629 5.6366
Se 15.1272 11.3169 1.8789
Se 15.1272 15.1272 1.8789
Se 16.8872 4.4074 1.8789
```

The 12 most intense peaks (10° ≤ 2θ ≤ 90°), by angle:
| index | 2θ/deg | d [Å] | I (rel.) |
| --- | --- | --- | --- |
| 2 0 0 | 10.0 | 8.815 | 35 |
| 3 1 0 | 15.9 | 5.575 | 28 |
| 3 1 1 | 19.8 | 4.478 | 100 |
| 4 2 1 | 25.5 | 3.491 | 34 |
| 2 0 2 | 25.8 | 3.457 | 40 |
| 6 0 0 | 30.4 | 2.938 | 21 |
| 6 2 1 | 34.3 | 2.613 | 19 |
| 5 1 2 | 35.3 | 2.544 | 39 |
| 3 1 3 | 39.4 | 2.285 | 14 |
| 6 2 2 | 40.3 | 2.239 | 28 |
| 5 5 2 | 43.6 | 2.078 | 27 |
| 6 4 2 | 44.2 | 2.049 | 24 |

---

> Which formula does entry 1 have?

YAlPd